Entry 1:
For Cd2Bi6O11, DFT lattice parameters and positions (PBE) gives the theoretical X-ray diffraction stick pattern in this record (Cu Kα (weighted mean of Kα1 and Kα2)).

The 10 most intense peaks (2θ from 5° to 70°), by angle:
(0 0 7), 26.15 deg, intensity 227
(0 1 4), 28.09 deg, intensity 568
(1 0 4), 28.53 deg, intensity 1000
(0 1 -4), 28.85 deg, intensity 362
(0 0 8), 29.97 deg, intensity 300
(1 1 0), 34.22 deg, intensity 292
(1 -1 0), 34.70 deg, intensity 342
(0 2 0), 49.43 deg, intensity 198
(2 0 0), 49.61 deg, intensity 160
(-1 2 4), 58.03 deg, intensity 171

Structural model:
```
data_Cd2Bi6O11
_chemical_formula_sum 'Cd2 Bi6 O11'
_symmetry_space_group_name_H-M 'P 1'
_symmetry_Int_Tables_number 1
_cell_length_a 3.6755
_cell_length_b 3.6873
_cell_length_c 23.8602
_cell_angle_alpha 88.33
_cell_angle_beta 89.87
_cell_angle_gamma 89.23
loop_
_symmetry_equiv_pos_as_xyz
'x,y,z'
loop_
_atom_site_label
_atom_site_fract_x
_atom_site_fract_y
_atom_site_fract_z
_atom_site_occupancy
Cd1 0.0000 0.0000 0.0000 1
Cd2 0.4887 0.4767 0.1064 1
Bi1 0.0312 0.1114 0.4695 1
Bi2 0.4946 0.6718 0.3366 1
Bi3 0.5168 0.5968 0.8786 1
Bi4 0.5395 0.6306 0.6087 1
Bi5 0.9279 0.9903 0.7496 1
Bi6 0.9991 0.1567 0.2223 1
O1 0.0031 0.6730 0.2772 1
O2 0.0192 0.9107 0.8499 1
O3 0.0336 0.1148 0.3804 1
O4 0.0397 0.9222 0.5816 1
O5 0.4999 0.9563 0.1596 1
O6 0.5008 0.1709 0.2801 1
O7 0.5024 0.0065 0.9452 1
O8 0.5125 0.4763 0.4783 1
O9 0.5252 0.0070 0.6777 1
O10 0.6072 0.4863 0.7742 1
O11 0.9898 0.4880 0.0513 1
```

Entry 2:
For Cd2Bi6O11, DFT lattice parameters and positions (PBE) gives the theoretical X-ray diffraction stick pattern in this record (Cu Kα (weighted mean of Kα1 and Kα2)).

The 10 most intense peaks (2θ from 5° to 70°), by angle:
(0 2 2), 28.35 deg, intensity 399
(2 2 0), 28.71 deg, intensity 306
(2 0 2), 28.84 deg, intensity 285
(0 2 -2), 29.18 deg, intensity 1000
(2 2 4), 40.59 deg, intensity 84
(2 -2 0), 41.18 deg, intensity 153
(2 2 -4), 42.24 deg, intensity 102
(0 4 0), 50.63 deg, intensity 76
(-2 2 4), 51.02 deg, intensity 71
(2 4 -2), 51.32 deg, intensity 106

Structural model:
```
data_Cd2Bi6O11
_chemical_formula_sum 'Cd4 Bi12 O22'
_symmetry_space_group_name_H-M 'P 1'
_symmetry_Int_Tables_number 1
_cell_length_a 7.5620
_cell_length_b 7.6630
_cell_length_c 12.2385
_cell_angle_alpha 87.87
_cell_angle_beta 88.54
_cell_angle_gamma 70.33
loop_
_symmetry_equiv_pos_as_xyz
'x,y,z'
loop_
_atom_site_label
_atom_site_fract_x
_atom_site_fract_y
_atom_site_fract_z
_atom_site_occupancy
Cd1 0.0000 0.0000 0.0000 1
Cd2 0.1973 0.2361 0.7528 1
Cd3 0.5100 0.4893 0.4984 1
Cd4 0.7409 0.7086 0.7408 1
Bi1 0.0287 0.5039 0.4963 1
Bi2 0.0312 0.5646 0.9936 1
Bi3 0.2173 0.7014 0.7209 1
Bi4 0.2752 0.7600 0.2320 1
Bi5 0.3144 0.2000 0.3002 1
Bi6 0.4596 0.9841 0.5451 1
Bi7 0.4687 0.9526 0.9560 1
Bi8 0.5996 0.4413 0.0196 1
Bi9 0.7113 0.2251 0.7502 1
Bi10 0.7319 0.2254 0.2587 1
Bi11 0.7832 0.7448 0.2540 1
Bi12 0.9610 0.0135 0.4950 1
O1 0.0217 0.7711 0.8669 1
O2 0.0275 0.5273 0.6929 1
O3 0.0511 0.5417 0.3032 1
O4 0.0745 0.0762 0.6456 1
O5 0.1585 0.7165 0.5214 1
O6 0.1972 0.1584 0.9277 1
O7 0.2163 0.0269 0.4074 1
O8 0.2374 0.7257 0.0611 1
O9 0.3241 0.3316 0.4794 1
O10 0.3675 0.9872 0.1753 1
O11 0.4200 0.3919 0.7239 1
O12 0.4468 0.8590 0.7925 1
O13 0.5841 0.0231 0.3845 1
O14 0.5900 0.5510 0.1877 1
O15 0.6322 0.6841 0.5553 1
O16 0.6488 0.1321 0.9102 1
O17 0.7096 0.0075 0.6465 1
O18 0.7657 0.5544 0.9151 1
O19 0.7963 0.3276 0.4088 1
O20 0.8380 0.7861 0.0821 1
O21 0.8589 0.2584 0.0930 1
O22 0.9500 0.9481 0.2692 1
```

Entry 3:
For Ta2CdBi, DFT lattice parameters and positions (PBE) gives the theoretical X-ray diffraction stick pattern in this record (Cu Kα (weighted mean of Kα1 and Kα2)).

The 10 most intense peaks (2θ from 5° to 70°), by angle:
(1 1 1), 21.96 deg, intensity 23
(2 0 0), 25.41 deg, intensity 22
(2 2 0), 36.24 deg, intensity 1000
(3 1 1), 42.78 deg, intensity 14
(2 2 2), 44.78 deg, intensity 7
(4 0 0), 52.19 deg, intensity 178
(3 3 1), 57.28 deg, intensity 6
(4 2 0), 58.91 deg, intensity 11
(4 2 2), 65.19 deg, intensity 365
(5 1 1), 69.69 deg, intensity 5

Structural model:
```
data_Ta2CdBi
_chemical_formula_sum 'Ta8 Cd4 Bi4'
_symmetry_space_group_name_H-M 'F -4 3 m'
_symmetry_Int_Tables_number 216
_symmetry_space_group_name_Hall 'F -4 2 3'
_cell_length_a 7.0107
_cell_length_b 7.0107
_cell_length_c 7.0107
_cell_angle_alpha 90.00
_cell_angle_beta 90.00
_cell_angle_gamma 90.00
loop_
_atom_site_label
_atom_site_fract_x
_atom_site_fract_y
_atom_site_fract_z
_atom_site_occupancy
Ta1 0.0000 0.0000 0.0000 1
Ta2 0.2500 0.2500 0.2500 1
Cd1 0.0000 0.0000 0.5000 1
Bi1 0.2500 0.2500 0.7500 1
```

Entry 4:
For CeBi3, DFT lattice parameters and positions (PBE) gives the theoretical X-ray diffraction stick pattern in this record (Cu Kα (weighted mean of Kα1 and Kα2)).

The 10 most intense peaks (2θ from 5° to 70°), by angle:
(1 0 1), 20.50 deg, intensity 20
(1 1 2), 31.34 deg, intensity 1000
(0 0 4), 32.16 deg, intensity 234
(2 0 0), 38.28 deg, intensity 295
(2 0 4), 50.84 deg, intensity 266
(2 2 0), 55.26 deg, intensity 104
(1 1 6), 56.82 deg, intensity 192
(3 1 2), 64.91 deg, intensity 259
(2 2 4), 65.39 deg, intensity 127
(0 0 8), 67.27 deg, intensity 29

Structural model:
```
data_CeBi3
_chemical_formula_sum 'Ce2 Bi6'
_symmetry_space_group_name_H-M 'I 4/m m m'
_symmetry_Int_Tables_number 139
_symmetry_space_group_name_Hall '-I 4 2'
_cell_length_a 4.7020
_cell_length_b 4.7020
_cell_length_c 11.1344
_cell_angle_alpha 90.00
_cell_angle_beta 90.00
_cell_angle_gamma 90.00
loop_
_atom_site_label
_atom_site_fract_x
_atom_site_fract_y
_atom_site_fract_z
_atom_site_occupancy
Ce1 0.0000 0.0000 0.0000 1
Bi1 0.0000 0.0000 0.5000 1
Bi2 0.0000 0.5000 0.2500 1
```

Entry 5:
For Ce3MnBi5, DFT lattice parameters and positions (PBE) gives the theoretical X-ray diffraction stick pattern in this record (Cu Kα (weighted mean of Kα1 and Kα2)).

The 10 most intense peaks (2θ from 5° to 70°), by angle:
(2 1 0), 28.99 deg, intensity 271
(1 0 2), 29.86 deg, intensity 165
(2 1 1), 32.22 deg, intensity 1000
(3 0 0), 32.98 deg, intensity 644
(1 1 2), 33.75 deg, intensity 980
(2 2 2), 47.91 deg, intensity 316
(3 2 1), 50.87 deg, intensity 172
(2 1 3), 51.96 deg, intensity 267
(5 1 1), 65.42 deg, intensity 159
(3 0 4), 67.70 deg, intensity 165

Structural model:
```
data_Ce3MnBi5
_chemical_formula_sum 'Ce6 Mn2 Bi10'
_symmetry_space_group_name_H-M 'P 63/m c m'
_symmetry_Int_Tables_number 193
_symmetry_space_group_name_Hall '-P 6c 2'
_cell_length_a 9.4088
_cell_length_b 9.4088
_cell_length_c 6.4337
_cell_angle_alpha 90.00
_cell_angle_beta 90.00
_cell_angle_gamma 120.00
loop_
_atom_site_label
_atom_site_fract_x
_atom_site_fract_y
_atom_site_fract_z
_atom_site_occupancy
Ce1 0.0000 0.3815 0.2500 1
Mn1 0.0000 0.0000 0.0000 1
Bi1 0.0000 0.2459 0.7500 1
Bi2 0.3333 0.6667 0.0000 1
```

Entry 6:
For Ce4Ni4Bi3Sb5, DFT lattice parameters and positions (PBE) gives the theoretical X-ray diffraction stick pattern in this record (Cu Kα (weighted mean of Kα1 and Kα2)).

The 10 most intense peaks (2θ from 5° to 70°), by angle:
(0 0 6), 27.87 deg, intensity 204
(1 1 2), 29.62 deg, intensity 405
(1 1 4), 33.83 deg, intensity 1000
(1 0 6), 34.39 deg, intensity 199
(2 0 0), 40.14 deg, intensity 495
(1 1 8), 47.46 deg, intensity 147
(2 0 6), 49.57 deg, intensity 172
(2 1 6), 53.87 deg, intensity 110
(2 2 0), 58.07 deg, intensity 166
(3 1 4), 68.92 deg, intensity 252

Structural model:
```
data_Ce4Ni4Bi3Sb5
_chemical_formula_sum 'Ce4 Ni4 Bi3 Sb5'
_symmetry_space_group_name_H-M 'P -4 m 2'
_symmetry_Int_Tables_number 115
_cell_length_a 4.4930
_cell_length_b 4.4930
_cell_length_c 19.2103
_cell_angle_alpha 90.00
_cell_angle_beta 90.00
_cell_angle_gamma 90.00
loop_
_symmetry_equiv_pos_as_xyz
'x,y,z'
'y,-x,-z'
'-x,-y,z'
'-y,x,-z'
'-x,y,z'
'-y,-x,-z'
'x,-y,z'
'y,x,-z'
loop_
_atom_site_label
_atom_site_fract_x
_atom_site_fract_y
_atom_site_fract_z
_atom_site_occupancy
Ce1 0.0000 0.5000 0.1354 1
Ce2 0.0000 0.5000 0.6384 1
Ni1 0.0000 0.0000 0.2498 1
Ni2 0.5000 0.5000 0.2500 1
Bi1 0.0000 0.0000 0.0000 1
Bi2 0.0000 0.0000 0.5000 1
Bi3 0.5000 0.5000 0.5000 1
Sb1 0.0000 0.5000 0.3198 1
Sb2 0.0000 0.5000 0.8199 1
Sb3 0.5000 0.5000 0.0000 1
```

Entry 7:
For CeBiS2O, DFT lattice parameters and positions (PBE) gives the theoretical X-ray diffraction stick pattern in this record (Cu Kα (weighted mean of Kα1 and Kα2)).

The 10 most intense peaks (2θ from 5° to 70°), by angle:
(1 0 2), 25.76 deg, intensity 1000
(0 0 4), 26.18 deg, intensity 322
(1 1 0), 31.51 deg, intensity 635
(1 0 4), 34.54 deg, intensity 119
(1 0 5), 40.01 deg, intensity 138
(1 1 4), 41.41 deg, intensity 467
(2 0 0), 45.16 deg, intensity 273
(1 0 6), 45.94 deg, intensity 161
(2 1 2), 52.72 deg, intensity 307
(2 0 4), 52.95 deg, intensity 191

Structural model:
```
data_CeBiS2O
_chemical_formula_sum 'Ce2 Bi2 S4 O2'
_symmetry_space_group_name_H-M 'P 4/n m m'
_symmetry_Int_Tables_number 129
_cell_length_a 4.0155
_cell_length_b 4.0155
_cell_length_c 13.6146
_cell_angle_alpha 90.00
_cell_angle_beta 90.00
_cell_angle_gamma 90.00
loop_
_symmetry_equiv_pos_as_xyz
'x,y,z'
'-x,-y,-z'
'-y+1/2,x,z'
'y+1/2,-x,-z'
'-x+1/2,-y+1/2,z'
'x+1/2,y+1/2,-z'
'y,-x+1/2,z'
'-y,x+1/2,-z'
'x+1/2,-y,-z'
'-x+1/2,y,z'
'-y,-x,-z'
'y,x,z'
'-x,y+1/2,-z'
'x,-y+1/2,z'
'y+1/2,x+1/2,-z'
'-y+1/2,-x+1/2,z'
loop_
_atom_site_label
_atom_site_fract_x
_atom_site_fract_y
_atom_site_fract_z
_atom_site_occupancy
Ce1 0.2500 0.2500 0.0907 1
Bi1 0.2500 0.2500 0.6243 1
S1 0.2500 0.2500 0.3810 1
S2 0.2500 0.2500 0.8149 1
O1 0.2500 0.7500 0.0000 1
```